Structure and calculated X-ray diffraction stick pattern of Pr5Dy3Ho (DFT lattice parameters and positions (PBE); a wavelength of 1.5418 Å).

Structural model:
Cell lengths 9.763, 9.763, 9.763 Å; angles 122.44, 122.44, 85.82 degrees
Fractional coordinates of all 18 atoms:
Pr 0.000 0.000 0.000
Pr 0.069 0.569 0.904
Pr 0.165 0.069 0.500
Pr 0.335 0.835 0.904
Pr 0.431 0.335 0.500
Pr 0.500 0.500 0.000
Pr 0.569 0.665 0.500
Pr 0.665 0.165 0.096
Pr 0.835 0.931 0.500
Pr 0.931 0.431 0.096
Dy 0.109 0.391 0.500
Dy 0.250 0.250 0.000
Dy 0.391 0.891 0.282
Dy 0.609 0.109 0.718
Dy 0.750 0.750 0.000
Dy 0.891 0.609 0.500
Ho 0.250 0.750 0.500
Ho 0.750 0.250 0.500

Top 10 peaks for 10 to 80 degrees two-theta, by angle:
2θ/deg  d [Å]  I/Imax
26.82  3.324  57.6
28.30  3.153  53.7
30.06  2.973  17.4
31.44  2.846  100.0
34.98  2.565  26.1
38.05  2.365  15.5
40.05  2.252  18.6
50.36  1.812  17.9
51.13  1.787  19.7
58.62  1.575  15.0